Simulated powder XRD pattern of ZrCrW for Cu Kα, 1.54184 Å, from DFT lattice parameters and positions (PBE).
No peak broadening, texture or thermal motion is included.

Peak list (10 most intense, 15° ≤ 2θ ≤ 90°, sorted by position)
(hkl)	d_spacing	I_rel
1 0 1	4.250	54
0 0 2	3.686	24
2 0 0	2.601	29
1 2 1	2.258	100
0 1 3	2.229	33
1 0 3	2.222	46
0 2 2	2.160	39
2 0 2	2.125	38
3 2 1	1.426	23
2 2 4	1.310	29

Structural model:
```
data_ZrCrW
_chemical_formula_sum 'Zr4 Cr4 W4'
_symmetry_space_group_name_H-M 'I m m a'
_symmetry_Int_Tables_number 74
_symmetry_space_group_name_Hall '-I 2b 2'
_cell_length_a 5.2017
_cell_length_b 5.3320
_cell_length_c 7.3712
_cell_angle_alpha 90.00
_cell_angle_beta 90.00
_cell_angle_gamma 90.00
loop_
_atom_site_label
_atom_site_fract_x
_atom_site_fract_y
_atom_site_fract_z
Zr1 0.0000 0.2500 0.1231
Cr1 0.2500 0.2500 0.7500
W1 0.0000 0.0000 0.5000
```

Simulated powder XRD pattern of KBaSbSe3 for Cu Kα, 1.54184 Å, from DFT lattice parameters and positions (PBE).
No peak broadening, texture or thermal motion is included.

Peak list (10 most intense, 15° ≤ 2θ ≤ 90°, sorted by position)
(hkl)	d_spacing	I_rel
1 1 2	3.391	39
1 2 -2	3.321	37
0 2 2	3.267	57
1 1 -3	3.023	100
2 2 -2	2.991	38
1 3 0	2.959	74
3 1 0	2.883	40
2 2 1	2.874	46
3 1 -2	2.850	40
2 0 -4	2.350	37

Structural model:
```
data_KBaSbSe3
_chemical_formula_sum 'K4 Ba4 Sb4 Se12'
_symmetry_space_group_name_H-M 'P 1 21/c 1'
_symmetry_Int_Tables_number 14
_symmetry_space_group_name_Hall '-P 2ybc'
_cell_length_a 9.5706
_cell_length_b 9.3898
_cell_length_c 9.5798
_cell_angle_alpha 90.00
_cell_angle_beta 108.27
_cell_angle_gamma 90.00
loop_
_atom_site_label
_atom_site_fract_x
_atom_site_fract_y
_atom_site_fract_z
K1 0.0854 0.0894 0.2099
Ba1 0.4171 0.7133 0.4635
Sb1 0.2522 0.0485 0.6264
Se1 0.1402 0.7049 0.0915
Se2 0.2295 0.1038 0.8828
Se3 0.4641 0.0164 0.2772
```

Simulated powder XRD pattern of NiPPd for Cu Kα, 1.54184 Å, from DFT lattice parameters and positions (PBE).
No peak broadening, texture or thermal motion is included.

Peak list (10 most intense, 15° ≤ 2θ ≤ 90°, sorted by position)
(hkl)	d_spacing	I_rel
1 1 0	3.019	16
1 1 1	2.320	100
2 0 1	2.121	53
2 1 0	1.976	36
0 0 2	1.813	21
3 0 0	1.743	15
3 1 0	1.450	11
3 1 1	1.347	19
2 1 2	1.336	19
3 2 1	1.139	15

Structural model:
```
data_NiPPd
_chemical_formula_sum 'Ni3 P3 Pd3'
_symmetry_space_group_name_H-M 'P -6 2 m'
_symmetry_Int_Tables_number 189
_symmetry_space_group_name_Hall 'P -6 -2'
_cell_length_a 6.0377
_cell_length_b 6.0377
_cell_length_c 3.6270
_cell_angle_alpha 90.00
_cell_angle_beta 90.00
_cell_angle_gamma 120.00
loop_
_atom_site_label
_atom_site_fract_x
_atom_site_fract_y
_atom_site_fract_z
Ni1 0.0000 0.7455 0.0000
P1 0.0000 0.0000 0.5000
P2 0.3333 0.6667 0.0000
Pd1 0.0000 0.4042 0.5000
```

Simulated powder XRD pattern of PmH for Cu Kα, 1.54184 Å, from DFT lattice parameters and positions (PBE).
No peak broadening, texture or thermal motion is included.

Peak list (10 most intense, 15° ≤ 2θ ≤ 90°, sorted by position)
(hkl)	d_spacing	I_rel
1 0 0	3.310	25
0 0 2	3.025	25
1 0 1	2.904	100
1 0 2	2.233	16
1 1 0	1.911	21
1 0 3	1.722	22
1 1 2	1.616	24
2 0 1	1.597	17
2 1 1	1.225	14
1 1 4	1.186	9

Structural model:
```
data_PmH
_chemical_formula_sum 'Pm2 H2'
_symmetry_space_group_name_H-M 'P 63 m c'
_symmetry_Int_Tables_number 186
_symmetry_space_group_name_Hall 'P 6c -2c'
_cell_length_a 3.8226
_cell_length_b 3.8226
_cell_length_c 6.0492
_cell_angle_alpha 90.00
_cell_angle_beta 90.00
_cell_angle_gamma 120.00
loop_
_atom_site_label
_atom_site_fract_x
_atom_site_fract_y
_atom_site_fract_z
Pm1 0.3333 0.6667 0.0000
H1 0.3333 0.6667 0.6103
```

Simulated powder XRD pattern of KIO2F2 for Cu Kα, 1.54184 Å, from DFT lattice parameters and positions (PBE).
No peak broadening, texture or thermal motion is included.

Peak list (10 most intense, 15° ≤ 2θ ≤ 90°, sorted by position)
(hkl)	d_spacing	I_rel
0 0 2	4.291	93
2 0 0	4.256	47
0 1 2	3.510	100
2 1 0	3.496	98
2 0 2	3.019	66
1 2 1	2.732	35
2 2 2	2.150	34
1 3 1	1.935	33
2 1 4	1.826	27
4 1 2	1.820	26

Structural model:
```
data_KIO2F2
_chemical_formula_sum 'K4 I4 O8 F8'
_symmetry_space_group_name_H-M 'P c a 21'
_symmetry_Int_Tables_number 29
_symmetry_space_group_name_Hall 'P 2c -2ac'
_cell_length_a 8.5125
_cell_length_b 6.1285
_cell_length_c 8.5642
_cell_angle_alpha 90.00
_cell_angle_beta 90.00
_cell_angle_gamma 90.00
loop_
_atom_site_label
_atom_site_fract_x
_atom_site_fract_y
_atom_site_fract_z
K1 0.2132 0.0320 0.0000
I1 0.0037 0.4363 0.7164
O1 0.0342 0.6498 0.0184
O2 0.2032 0.3418 0.7428
F1 0.0736 0.7360 0.6413
F2 0.0781 0.8615 0.2961
```

Simulated powder XRD pattern of MgCu10P6O26 for Cu Kα, 1.54184 Å, from DFT lattice parameters and positions (PBE).
No peak broadening, texture or thermal motion is included.

Peak list (10 most intense, 15° ≤ 2θ ≤ 90°, sorted by position)
(hkl)	d_spacing	I_rel
0 0 3	3.387	65
0 2 2	3.177	46
0 1 -3	3.151	100
0 1 3	3.116	34
-2 1 1	2.862	56
0 3 0	2.747	60
2 0 2	2.640	64
2 1 -2	2.586	29
2 0 -4	2.013	37
0 4 -2	1.920	38

Structural model:
```
data_MgCu10P6O26
_chemical_formula_sum 'Mg1 Cu10 P6 O26'
_symmetry_space_group_name_H-M 'P -1'
_symmetry_Int_Tables_number 2
_symmetry_space_group_name_Hall '-P 1'
_cell_length_a 6.3220
_cell_length_b 8.2410
_cell_length_c 10.1668
_cell_angle_alpha 90.82
_cell_angle_beta 91.94
_cell_angle_gamma 90.55
loop_
_atom_site_label
_atom_site_fract_x
_atom_site_fract_y
_atom_site_fract_z
Mg1 0.0000 0.0000 0.0000
Cu1 0.0190 0.8521 0.2495
Cu2 0.2435 0.5692 0.1443
Cu3 0.2518 0.7773 0.5487
Cu4 0.3346 0.8265 0.9425
Cu5 0.4866 0.1442 0.7744
P1 0.2440 0.1392 0.5017
P2 0.2520 0.4967 0.7834
P3 0.2730 0.1646 0.1356
O1 0.0468 0.3845 0.7873
O2 0.0530 0.2415 0.4592
O3 0.0619 0.0876 0.1840
O4 0.2371 0.1057 0.6575
O5 0.2367 0.9646 0.4358
O6 0.2434 0.6059 0.9095
O7 0.2438 0.8023 0.1265
O8 0.2690 0.5874 0.6566
O9 0.2739 0.3449 0.1464
O10 0.2790 0.1018 0.9858
O11 0.4453 0.2349 0.4755
O12 0.4470 0.3784 0.8018
O13 0.4805 0.0940 0.2024
```

Simulated powder XRD pattern of Ca2Mg5Si8O24 for Cu Kα, 1.54184 Å, from DFT lattice parameters and positions (PBE).
No peak broadening, texture or thermal motion is included.

Peak list (10 most intense, 15° ≤ 2θ ≤ 90°, sorted by position)
(hkl)	d_spacing	I_rel
0 4 0	4.866	35
0 2 1	4.652	12
2 2 0	4.564	100
3 1 0	3.392	16
1 5 1	2.885	13
2 6 0	2.748	32
4 0 0	2.582	15
3 1 -2	2.393	13
0 6 2	2.051	21
0 10 0	1.949	15

Structural model:
```
data_Ca2Mg5Si8O24
_chemical_formula_sum 'Ca4 Mg10 Si16 O48'
_symmetry_space_group_name_H-M 'C 1 2/m 1'
_symmetry_Int_Tables_number 12
_symmetry_space_group_name_Hall '-C 2y'
_cell_length_a 10.6756
_cell_length_b 19.4644
_cell_length_c 5.4709
_cell_angle_alpha 90.00
_cell_angle_beta 104.51
_cell_angle_gamma 90.00
loop_
_atom_site_label
_atom_site_fract_x
_atom_site_fract_y
_atom_site_fract_z
Ca1 0.0000 0.1857 0.0000
Mg1 0.0000 0.3196 0.5000
Mg2 0.0000 0.3668 0.0000
Mg3 0.0000 0.5000 0.5000
Si1 0.2160 0.0744 0.6562
Si2 0.2483 0.0851 0.1770
O1 0.0614 0.2773 0.2222
O2 0.1110 0.3822 0.7505
O3 0.1290 0.4292 0.2761
O4 0.1424 0.0000 0.6338
O5 0.1572 0.1097 0.3687
O6 0.1638 0.1118 0.8918
O7 0.2332 0.5000 0.8105
```

Simulated powder XRD pattern of PmCl2 for Cu Kα, 1.54184 Å, from DFT lattice parameters and positions (PBE).
No peak broadening, texture or thermal motion is included.

Peak list (10 most intense, 15° ≤ 2θ ≤ 90°, sorted by position)
(hkl)	d_spacing	I_rel
1 1 0	5.022	100
1 0 1	3.191	52
2 2 0	2.511	33
2 1 1	2.373	66
3 1 0	2.246	22
3 0 1	1.973	26
3 2 1	1.725	14
4 1 1	1.551	13
4 3 1	1.320	14
5 2 1	1.237	12

Structural model:
```
data_PmCl2
_chemical_formula_sum 'Pm2 Cl4'
_symmetry_space_group_name_H-M 'P 42/m n m'
_symmetry_Int_Tables_number 136
_symmetry_space_group_name_Hall '-P 4n 2n'
_cell_length_a 7.1016
_cell_length_b 7.1016
_cell_length_c 3.5721
_cell_angle_alpha 90.00
_cell_angle_beta 90.00
_cell_angle_gamma 90.00
loop_
_atom_site_label
_atom_site_fract_x
_atom_site_fract_y
_atom_site_fract_z
Pm1 0.0000 0.0000 0.0000
Cl1 0.2195 0.2195 0.5000
```

> What is the formula in the eighth record?

PmCl2